(1)
Simulated powder X-ray diffraction pattern of LaCo13 for Cu Kα (weighted mean of Kα1 and Kα2), from the GGA-PBE geometry in the Materials Project.
No peak broadening, texture or thermal motion is included.

Atomic structure:
```
28
Lattice="0.0000 5.6376 5.6376 5.6376 0.0000 5.6376 5.6376 5.6376 0.0000" Properties=species:S:1:pos:R:3 pbc="T T T"
La 2.8188 2.8188 2.8188
La 8.4563 8.4563 8.4563
Co 0.0000 0.0000 0.0000
Co 5.6376 4.3080 2.0011
Co 9.2741 5.6376 4.3080
Co 6.9671 2.0011 5.6376
Co 6.9671 5.6376 3.6365
Co 5.6376 3.6365 4.3080
Co 7.6386 4.3080 5.6376
Co 5.6376 6.9671 2.0011
Co 4.3080 2.0011 5.6376
Co 9.2741 5.6376 6.9671
Co 4.3080 5.6376 3.6365
Co 7.6386 6.9671 5.6376
Co 5.6376 3.6365 6.9671
Co 5.6376 5.6376 5.6376
Co 5.6376 7.6386 4.3080
Co 3.6365 4.3080 5.6376
Co 6.9671 5.6376 7.6386
Co 2.0011 5.6376 4.3080
Co 6.9671 9.2741 5.6376
Co 5.6376 4.3080 9.2741
Co 3.6365 6.9671 5.6376
Co 5.6376 7.6386 6.9671
Co 4.3080 5.6376 7.6386
Co 4.3080 9.2741 5.6376
Co 2.0011 5.6376 6.9671
Co 5.6376 6.9671 9.2741
```

Top 10 peaks for 2θ = 10–90°, by angle:
| 2θ/deg | d/Å | I/Imax |
| --- | --- | --- |
| 35.6 | 2.521 | 53 |
| 39.1 | 2.302 | 90 |
| 47.7 | 1.906 | 100 |
| 48.4 | 1.879 | 19 |
| 51.2 | 1.783 | 22 |
| 59.1 | 1.564 | 15 |
| 61.5 | 1.507 | 16 |
| 68.6 | 1.367 | 14 |
| 84.1 | 1.151 | 14 |
| 88.4 | 1.106 | 14 |

(2)
Simulated powder X-ray diffraction pattern of AlZnGaS4 for Cu Kα (weighted mean of Kα1 and Kα2), from the GGA-PBE geometry in the Materials Project.
No peak broadening, texture or thermal motion is included.

Atomic structure:
```
14
Lattice="5.3741 0.0000 0.0000 0.0000 5.3741 0.0000 0.0000 0.0000 10.4442" Properties=species:S:1:pos:R:3 pbc="T T T"
Al 0.0000 0.0000 0.0000
Al 2.6870 2.6870 5.2221
Zn 0.0000 0.0000 5.2221
Zn 2.6870 2.6870 0.0000
Ga 0.0000 2.6870 2.6110
Ga 2.6870 0.0000 7.8331
S 1.2916 1.3179 9.1059
S 1.3179 4.0824 1.3383
S 1.3691 3.9787 6.5604
S 1.3954 1.3691 3.8838
S 3.9787 4.0049 3.8838
S 4.0049 1.3954 6.5604
S 4.0562 1.2916 1.3383
S 4.0824 4.0562 9.1059
```

Top 10 peaks for 2θ = 10–90°, by angle:
| 2θ/deg | d/Å | I/Imax |
| --- | --- | --- |
| 18.6 | 4.779 | 41 |
| 29.1 | 3.073 | 100 |
| 30.6 | 2.922 | 15 |
| 38.4 | 2.342 | 16 |
| 47.9 | 1.900 | 22 |
| 48.6 | 1.873 | 43 |
| 57.0 | 1.616 | 27 |
| 58.3 | 1.583 | 12 |
| 78.7 | 1.216 | 10 |
| 89.9 | 1.092 | 14 |

(3)
Simulated powder X-ray diffraction pattern of Te4MoW2Se2 for Cu Kα (weighted mean of Kα1 and Kα2), from the GGA-PBE geometry in the Materials Project.
No peak broadening, texture or thermal motion is included.

Atomic structure:
```
9
Lattice="3.4768 0.0000 0.0000 -1.7384 3.0110 0.0000 0.0000 0.0000 32.1003" Properties=species:S:1:pos:R:3 pbc="T T T"
Te 0.0000 0.0000 0.0000
Te 0.0000 0.0000 3.6813
Te 0.0000 2.0073 7.4168
Te 0.0000 2.0073 11.1188
Mo 0.0000 2.0073 1.8423
W 0.0000 0.0000 9.2695
W 0.0000 0.0000 26.5166
Se 0.0000 2.0073 24.8863
Se 0.0000 2.0073 28.1458
```

Top 10 peaks for 2θ = 10–90°, by angle:
| 2θ/deg | d/Å | I/Imax |
| --- | --- | --- |
| 11.0 | 8.025 | 100 |
| 29.7 | 3.011 | 35 |
| 29.8 | 2.998 | 14 |
| 31.7 | 2.819 | 18 |
| 34.2 | 2.624 | 51 |
| 35.7 | 2.517 | 64 |
| 41.1 | 2.196 | 26 |
| 43.2 | 2.096 | 50 |
| 52.7 | 1.738 | 35 |
| 74.1 | 1.279 | 16 |

(4)
Simulated powder X-ray diffraction pattern of TbMgTl2 for Cu Kα (weighted mean of Kα1 and Kα2), from the GGA-PBE geometry in the Materials Project.
No peak broadening, texture or thermal motion is included.

Atomic structure:
```
16
Lattice="7.4836 0.0000 0.0000 0.0000 7.4836 0.0000 0.0000 0.0000 7.4836" Properties=species:S:1:pos:R:3 pbc="T T T"
Tb 0.0000 0.0000 0.0000
Tb 0.0000 3.7418 3.7418
Tb 3.7418 0.0000 3.7418
Tb 3.7418 3.7418 0.0000
Mg 0.0000 0.0000 3.7418
Mg 0.0000 3.7418 0.0000
Mg 3.7418 0.0000 0.0000
Mg 3.7418 3.7418 3.7418
Tl 1.8709 1.8709 1.8709
Tl 1.8709 1.8709 5.6127
Tl 1.8709 5.6127 1.8709
Tl 1.8709 5.6127 5.6127
Tl 5.6127 1.8709 1.8709
Tl 5.6127 1.8709 5.6127
Tl 5.6127 5.6127 1.8709
Tl 5.6127 5.6127 5.6127
```

Top 10 peaks for 2θ = 10–90°, by angle:
| 2θ/deg | d/Å | I/Imax |
| --- | --- | --- |
| 20.6 | 4.321 | 12 |
| 23.8 | 3.742 | 16 |
| 33.9 | 2.646 | 100 |
| 40.0 | 2.256 | 7 |
| 41.8 | 2.160 | 5 |
| 48.7 | 1.871 | 18 |
| 54.9 | 1.673 | 7 |
| 60.6 | 1.528 | 38 |
| 71.3 | 1.323 | 12 |
| 81.3 | 1.183 | 17 |

(5)
Simulated powder X-ray diffraction pattern of CeAl2Zn2 for Cu Kα (weighted mean of Kα1 and Kα2), from the GGA-PBE geometry in the Materials Project.
No peak broadening, texture or thermal motion is included.

Atomic structure:
```
10
Lattice="4.2032 0.0000 0.0000 0.0000 4.2032 0.0000 0.0000 0.0000 10.9294" Properties=species:S:1:pos:R:3 pbc="T T T"
Ce 0.0000 0.0000 0.0000
Ce 2.1016 2.1016 5.4647
Al 0.0000 2.1016 2.7323
Al 0.0000 2.1016 8.1970
Al 2.1016 0.0000 2.7323
Al 2.1016 0.0000 8.1970
Zn 0.0000 0.0000 4.2427
Zn 0.0000 0.0000 6.6866
Zn 2.1016 2.1016 1.2219
Zn 2.1016 2.1016 9.7074
```

Top 10 peaks for 2θ = 10–90°, by angle:
| 2θ/deg | d/Å | I/Imax |
| --- | --- | --- |
| 16.2 | 5.465 | 33 |
| 30.1 | 2.972 | 71 |
| 32.5 | 2.753 | 100 |
| 34.3 | 2.611 | 90 |
| 43.0 | 2.102 | 57 |
| 46.8 | 1.939 | 59 |
| 55.0 | 1.670 | 44 |
| 62.5 | 1.486 | 18 |
| 65.5 | 1.425 | 42 |
| 73.3 | 1.292 | 19 |

(6)
Simulated powder X-ray diffraction pattern of AgAu for Cu Kα (weighted mean of Kα1 and Kα2), from the GGA-PBE geometry in the Materials Project.
No peak broadening, texture or thermal motion is included.

Atomic structure:
```
6
Lattice="2.9461 0.0000 0.0000 -1.4731 2.5514 0.0000 0.0000 0.0000 14.3682" Properties=species:S:1:pos:R:3 pbc="T T T"
Ag 0.0000 0.0000 0.0000
Ag 0.0000 1.7010 9.5788
Ag 1.4731 0.8505 4.7894
Au 0.0000 0.0000 7.1841
Au 0.0000 1.7010 2.3947
Au 1.4731 0.8505 11.9735
```

Top 10 peaks for 2θ = 10–90°, by angle:
| 2θ/deg | d/Å | I/Imax |
| --- | --- | --- |
| 18.5 | 4.789 | 13 |
| 35.7 | 2.512 | 9 |
| 37.4 | 2.404 | 100 |
| 37.6 | 2.395 | 33 |
| 43.5 | 2.080 | 65 |
| 63.1 | 1.473 | 21 |
| 63.3 | 1.469 | 21 |
| 75.8 | 1.255 | 38 |
| 76.0 | 1.252 | 13 |
| 79.8 | 1.202 | 11 |

(7)
Simulated powder X-ray diffraction pattern of RbP2H3O6 for Cu Kα (weighted mean of Kα1 and Kα2), from the GGA-PBE geometry in the Materials Project.
No peak broadening, texture or thermal motion is included.

Atomic structure:
```
24
Lattice="7.3249 0.0000 0.0000 3.4460 6.7049 0.0000 3.4854 -1.5034 6.8767" Properties=species:S:1:pos:R:3 pbc="T T T"
Rb 2.2355 1.6469 1.8756
Rb 12.0208 3.5546 5.0011
P 4.7453 -0.7974 4.3178
P 5.8632 3.6319 0.9525
P 8.3932 1.5697 5.9242
P 9.5110 5.9989 2.5589
H 4.3355 4.9383 1.8815
H 6.1870 0.2018 5.6865
H 8.2544 3.5078 4.6651
H 6.0019 1.6937 2.2115
H 8.0693 4.9997 1.1901
H 9.9208 0.2632 4.9951
O 3.7859 0.3896 4.2294
O 5.2567 5.0247 1.3494
O 6.8889 1.5024 6.1217
O 7.5117 4.5374 4.3641
O 5.7153 -0.7064 5.5719
O 5.3622 2.5990 2.0103
O 8.8941 2.6026 4.8663
O 8.5410 5.9080 1.3048
O 6.7447 0.6642 2.5126
O 7.3674 3.6991 0.7550
O 8.9996 0.1769 5.5273
O 10.4705 4.8120 2.6473
```

Top 10 peaks for 2θ = 10–90°, by angle:
| 2θ/deg | d/Å | I/Imax |
| --- | --- | --- |
| 20.6 | 4.306 | 43 |
| 22.9 | 3.889 | 36 |
| 23.1 | 3.848 | 100 |
| 23.7 | 3.752 | 44 |
| 25.9 | 3.438 | 57 |
| 26.2 | 3.399 | 41 |
| 27.2 | 3.275 | 38 |
| 28.0 | 3.191 | 45 |
| 37.5 | 2.397 | 36 |
| 37.8 | 2.379 | 42 |

(8)
Simulated powder X-ray diffraction pattern of CaAg2O4 for Cu Kα (weighted mean of Kα1 and Kα2), from the GGA-PBE geometry in the Materials Project.
No peak broadening, texture or thermal motion is included.

Atomic structure:
```
14
Lattice="0.0000 4.6948 4.6948 4.6948 0.0000 4.6948 4.6948 4.6948 0.0000" Properties=species:S:1:pos:R:3 pbc="T T T"
Ca 1.1737 1.1737 1.1737
Ca 8.2159 8.2159 8.2159
Ag 4.6948 2.3474 2.3474
Ag 2.3474 4.6948 2.3474
Ag 2.3474 2.3474 4.6948
Ag 4.6948 4.6948 4.6948
O 2.4688 2.4688 2.4688
O 4.5734 4.5734 2.4688
O 4.5734 2.4688 4.5734
O 6.9208 4.8162 4.8162
O 2.4688 4.5734 4.5734
O 4.8162 6.9208 4.8162
O 4.8162 4.8162 6.9208
O 6.9208 6.9208 6.9208
```

Top 10 peaks for 2θ = 10–90°, by angle:
| 2θ/deg | d/Å | I/Imax |
| --- | --- | --- |
| 16.4 | 5.421 | 69 |
| 31.6 | 2.831 | 100 |
| 33.0 | 2.711 | 39 |
| 38.3 | 2.347 | 45 |
| 41.9 | 2.154 | 12 |
| 50.5 | 1.807 | 39 |
| 55.3 | 1.660 | 49 |
| 58.1 | 1.587 | 14 |
| 66.0 | 1.416 | 18 |
| 78.2 | 1.222 | 19 |

(9)
Simulated powder X-ray diffraction pattern of Sc9Ni5Ge8 for Cu Kα (weighted mean of Kα1 and Kα2), from the GGA-PBE geometry in the Materials Project.
No peak broadening, texture or thermal motion is included.

Atomic structure:
```
22
Lattice="-1.9614 4.5368 10.4936 1.9614 -4.5368 10.4936 1.9614 4.5368 -10.4936" Properties=species:S:1:pos:R:3 pbc="T T T"
Sc 0.0000 0.0000 0.0000
Sc 1.9614 -2.7707 7.4728
Sc 0.0000 0.0000 3.4251
Sc 0.0000 0.0000 7.9734
Sc 1.9614 2.7707 3.9258
Sc 0.0000 0.0000 11.3986
Sc 1.9614 2.7707 7.4728
Sc 0.0000 4.5368 5.6993
Sc 0.0000 1.7660 14.4193
Ni 1.9614 2.0424 -0.7051
Ni 1.9614 0.0000 5.7523
Ni 0.0000 2.4944 1.6101
Ni 0.0000 2.4944 9.7885
Ni 0.0000 6.5791 1.6101
Ge 1.9614 2.8376 -4.7943
Ge 1.9614 1.2505 1.6992
Ge 1.9614 -1.2505 9.6993
Ge 0.0000 1.6992 5.6993
Ge 1.9614 1.2505 9.6993
Ge 0.0000 4.5368 2.9111
Ge 0.0000 4.5368 8.4875
Ge 0.0000 3.2862 12.1928
```

Top 10 peaks for 2θ = 10–90°, by angle:
| 2θ/deg | d/Å | I/Imax |
| --- | --- | --- |
| 35.8 | 2.509 | 42 |
| 36.6 | 2.454 | 24 |
| 37.1 | 2.423 | 100 |
| 37.8 | 2.382 | 24 |
| 38.6 | 2.335 | 87 |
| 39.7 | 2.271 | 39 |
| 43.1 | 2.099 | 26 |
| 46.3 | 1.961 | 52 |
| 48.1 | 1.891 | 36 |
| 51.7 | 1.769 | 29 |